1.
This entry pairs a crystal structure of CaSiBO with its computed powder diffraction line list. Radiation: copper Kα. Structure: a DFT-relaxed cell (PBE, Alexandria).

Peak list (8 most intense, 10 to 90 degrees two-theta, in order of rising 2θ)
| 2θ (°) | I/Imax |
| --- | --- |
| 29.69 | 39 |
| 30.48 | 25 |
| 31.62 | 48 |
| 32.81 | 23 |
| 36.25 | 100 |
| 36.92 | 43 |
| 39.14 | 26 |
| 54.72 | 35 |

Structure:
a b c (Å): 5.7460 3.4767 6.3341
angles (deg): 90.00 108.17 90.00
Sites, in units of the cell vectors:
Ca: 0.0000 0.0000 0.0000
Ca: 0.5000 0.5000 0.0000
Si: 0.0182 0.5000 0.5973
Si: 0.5182 0.0000 0.5973
B: 0.3052 0.5000 0.4293
B: 0.8052 0.0000 0.4293
O: 0.2254 0.5000 0.1959
O: 0.7254 0.0000 0.1959

2.
This entry pairs a crystal structure of CaSiBO with its computed powder diffraction line list. Radiation: copper Kα. Structure: a DFT-relaxed cell (PBE, Alexandria).

Peak list (8 most intense, 10 to 90 degrees two-theta, in order of rising 2θ)
| 2θ (°) | I/Imax |
| --- | --- |
| 29.28 | 22 |
| 33.95 | 100 |
| 45.45 | 16 |
| 51.92 | 28 |
| 60.77 | 21 |
| 63.50 | 25 |
| 83.96 | 9 |
| 86.38 | 10 |

Structure:
a b c (Å): 3.5222 3.5222 5.2782
angles (deg): 90.00 90.00 120.00
Sites, in units of the cell vectors:
Ca: 0.0000 0.0000 0.0000
Si: 0.6667 0.3333 0.4701
B: 0.3333 0.6667 0.3726
O: 0.6667 0.3333 0.7962

3.
This entry pairs a crystal structure of CaSm2B2O6 with its computed powder diffraction line list. Radiation: copper Kα. Structure: a DFT-relaxed cell (PBE, Alexandria).

Peak list (8 most intense, 10 to 90 degrees two-theta, in order of rising 2θ)
| 2θ (°) | I/Imax |
| --- | --- |
| 19.97 | 32 |
| 22.55 | 100 |
| 28.55 | 70 |
| 35.35 | 31 |
| 42.34 | 29 |
| 45.73 | 23 |
| 47.12 | 26 |
| 56.30 | 23 |

Structure:
a b c (Å): 5.0787 5.0787 8.8931
angles (deg): 90.00 90.00 120.00
Sites, in units of the cell vectors:
Ca: 0.0000 0.0000 0.0000
Sm: 0.3333 0.6667 0.7007
Sm: 0.6667 0.3333 0.2993
B: 0.3333 0.6667 0.1715
B: 0.6667 0.3333 0.8285
O: 0.0663 0.3880 0.1704
O: 0.3217 0.9337 0.1704
O: 0.3880 0.3217 0.8296
O: 0.6120 0.6783 0.1704
O: 0.6783 0.0663 0.8296
O: 0.9337 0.6120 0.8296

4.
This entry pairs a crystal structure of CaSn3B4O12 with its computed powder diffraction line list. Radiation: copper Kα. Structure: a DFT-relaxed cell (PBE, Alexandria).

Peak list (8 most intense, 10 to 90 degrees two-theta, in order of rising 2θ)
| 2θ (°) | I/Imax |
| --- | --- |
| 17.68 | 27 |
| 23.10 | 79 |
| 29.24 | 23 |
| 29.73 | 100 |
| 35.81 | 27 |
| 43.39 | 29 |
| 48.50 | 24 |
| 48.95 | 35 |

Structure:
a b c (Å): 6.4222 6.4222 6.4222
angles (deg): 102.70 102.70 102.70
Sites, in units of the cell vectors:
Ca: 0.0000 0.0000 0.0000
Sn: 0.0000 0.5338 0.4662
Sn: 0.4662 0.0000 0.5338
Sn: 0.5338 0.4662 0.0000
B: 0.0385 0.5000 0.9615
B: 0.5000 0.5000 0.5000
B: 0.5000 0.9615 0.0385
B: 0.9615 0.0385 0.5000
O: 0.0182 0.6286 0.8163
O: 0.1023 0.8977 0.5000
O: 0.1837 0.3714 0.9818
O: 0.3617 0.6383 0.5000
O: 0.3714 0.9818 0.1837
O: 0.5000 0.1023 0.8977
O: 0.5000 0.3617 0.6383
O: 0.6286 0.8163 0.0182
O: 0.6383 0.5000 0.3617
O: 0.8163 0.0182 0.6286
O: 0.8977 0.5000 0.1023
O: 0.9818 0.1837 0.3714

5.
This entry pairs a crystal structure of Ca2TmB2O6 with its computed powder diffraction line list. Radiation: copper Kα. Structure: a DFT-relaxed cell (PBE, Alexandria).

Peak list (8 most intense, 10 to 90 degrees two-theta, in order of rising 2θ)
| 2θ (°) | I/Imax |
| --- | --- |
| 15.46 | 53 |
| 21.03 | 100 |
| 22.45 | 40 |
| 29.52 | 61 |
| 32.59 | 95 |
| 34.79 | 62 |
| 40.72 | 37 |
| 45.83 | 40 |

Structure:
a b c (Å): 5.1677 5.1677 6.6462
angles (deg): 116.27 116.27 58.23
Sites, in units of the cell vectors:
Ca: 0.2032 0.2032 0.1721
Ca: 0.7968 0.7968 0.8279
Tm: 0.0000 0.0000 0.5000
B: 0.4541 0.4541 0.7440
B: 0.5459 0.5459 0.2560
O: 0.2147 0.6958 0.1861
O: 0.2765 0.2765 0.6481
O: 0.3042 0.7853 0.8139
O: 0.6958 0.2147 0.1861
O: 0.7235 0.7235 0.3519
O: 0.7853 0.3042 0.8139

6.
This entry pairs a crystal structure of CaB4Os with its computed powder diffraction line list. Radiation: copper Kα. Structure: a DFT-relaxed cell (PBE, Alexandria).

Peak list (8 most intense, 10 to 90 degrees two-theta, in order of rising 2θ)
| 2θ (°) | I/Imax |
| --- | --- |
| 16.65 | 100 |
| 21.33 | 70 |
| 25.11 | 87 |
| 30.83 | 68 |
| 38.00 | 58 |
| 40.17 | 87 |
| 43.04 | 43 |
| 46.10 | 89 |

Structure:
a b c (Å): 5.9924 11.5928 3.5460
angles (deg): 90.00 90.00 90.00
Sites, in units of the cell vectors:
Ca: 0.1286 0.1501 0.0000
Ca: 0.3714 0.6501 0.0000
Ca: 0.6286 0.3499 0.0000
Ca: 0.8714 0.8499 0.0000
B: 0.0254 0.6915 0.5000
B: 0.1131 0.5471 0.5000
B: 0.1367 0.9694 0.5000
B: 0.2149 0.8153 0.5000
B: 0.2851 0.3153 0.5000
B: 0.3633 0.4694 0.5000
B: 0.3869 0.0471 0.5000
B: 0.4746 0.1915 0.5000
B: 0.5254 0.8085 0.5000
B: 0.6131 0.9529 0.5000
B: 0.6367 0.5306 0.5000
B: 0.7149 0.6847 0.5000
B: 0.7851 0.1847 0.5000
B: 0.8633 0.0306 0.5000
B: 0.8869 0.4529 0.5000
B: 0.9746 0.3085 0.5000
Os: 0.1353 0.4120 0.0000
Os: 0.3647 0.9120 0.0000
Os: 0.6353 0.0880 0.0000
Os: 0.8647 0.5880 0.0000

7.
This entry pairs a crystal structure of CaB3Os with its computed powder diffraction line list. Radiation: copper Kα. Structure: a DFT-relaxed cell (PBE, Alexandria).

Peak list (8 most intense, 10 to 90 degrees two-theta, in order of rising 2θ)
| 2θ (°) | I/Imax |
| --- | --- |
| 22.62 | 89 |
| 29.02 | 100 |
| 35.13 | 70 |
| 46.19 | 34 |
| 47.17 | 31 |
| 47.79 | 27 |
| 56.04 | 18 |
| 59.33 | 32 |

Structure:
a b c (Å): 5.1085 5.1085 8.5617
angles (deg): 90.00 90.00 120.00
Sites, in units of the cell vectors:
Ca: 0.0000 0.0000 0.0000
Ca: 0.3333 0.6667 0.6667
Ca: 0.6667 0.3333 0.3333
B: 0.1042 0.5521 0.9564
B: 0.1146 0.2291 0.2898
B: 0.1146 0.8854 0.2898
B: 0.4375 0.2188 0.6231
B: 0.4479 0.5521 0.9564
B: 0.4479 0.8958 0.9564
B: 0.7709 0.8854 0.2898
B: 0.7812 0.2188 0.6231
B: 0.7812 0.5625 0.6231
Os: 0.0000 0.0000 0.5304
Os: 0.3333 0.6667 0.1970
Os: 0.6667 0.3333 0.8637

8.
This entry pairs a crystal structure of CaPmB12 with its computed powder diffraction line list. Radiation: copper Kα. Structure: a DFT-relaxed cell (PBE, Alexandria).

Peak list (8 most intense, 10 to 90 degrees two-theta, in order of rising 2θ)
| 2θ (°) | I/Imax |
| --- | --- |
| 18.59 | 58 |
| 21.50 | 45 |
| 30.58 | 100 |
| 36.03 | 34 |
| 37.69 | 44 |
| 43.80 | 22 |
| 49.29 | 47 |
| 68.04 | 29 |

Structure:
a b c (Å): 5.8461 5.8461 5.8461
angles (deg): 60.00 60.00 60.00
Sites, in units of the cell vectors:
Ca: 0.0000 0.0000 0.0000
Pm: 0.5000 0.5000 0.5000
B: 0.1002 0.1002 0.3998
B: 0.1002 0.3998 0.1002
B: 0.1002 0.3998 0.3998
B: 0.3998 0.1002 0.1002
B: 0.3998 0.1002 0.3998
B: 0.3998 0.3998 0.1002
B: 0.6002 0.6002 0.8998
B: 0.6002 0.8998 0.6002
B: 0.6002 0.8998 0.8998
B: 0.8998 0.6002 0.6002
B: 0.8998 0.6002 0.8998
B: 0.8998 0.8998 0.6002

9.
This entry pairs a crystal structure of RbCaB12 with its computed powder diffraction line list. Radiation: copper Kα. Structure: a DFT-relaxed cell (PBE, Alexandria).

Peak list (8 most intense, 10 to 90 degrees two-theta, in order of rising 2θ)
| 2θ (°) | I/Imax |
| --- | --- |
| 18.25 | 20 |
| 21.10 | 24 |
| 30.02 | 100 |
| 36.98 | 46 |
| 42.97 | 24 |
| 48.34 | 43 |
| 66.65 | 30 |
| 70.77 | 22 |

Structure:
a b c (Å): 5.9536 5.9536 5.9536
angles (deg): 60.00 60.00 60.00
Sites, in units of the cell vectors:
Rb: 0.0000 0.0000 0.0000
Ca: 0.5000 0.5000 0.5000
B: 0.1004 0.1004 0.3996
B: 0.1004 0.3996 0.1004
B: 0.1004 0.3996 0.3996
B: 0.3996 0.1004 0.1004
B: 0.3996 0.1004 0.3996
B: 0.3996 0.3996 0.1004
B: 0.6004 0.6004 0.8996
B: 0.6004 0.8996 0.6004
B: 0.6004 0.8996 0.8996
B: 0.8996 0.6004 0.6004
B: 0.8996 0.6004 0.8996
B: 0.8996 0.8996 0.6004

10.
This entry pairs a crystal structure of CaReB3 with its computed powder diffraction line list. Radiation: copper Kα. Structure: a DFT-relaxed cell (PBE, Alexandria).

Peak list (8 most intense, 10 to 90 degrees two-theta, in order of rising 2θ)
| 2θ (°) | I/Imax |
| --- | --- |
| 22.43 | 90 |
| 28.93 | 100 |
| 34.70 | 73 |
| 45.78 | 35 |
| 47.26 | 30 |
| 47.56 | 28 |
| 55.34 | 18 |
| 58.70 | 33 |

Structure:
a b c (Å): 5.1704 5.1704 8.5200
angles (deg): 90.00 90.00 120.00
Sites, in units of the cell vectors:
Ca: 0.0000 0.0000 0.0000
Ca: 0.3333 0.6667 0.6667
Ca: 0.6667 0.3333 0.3333
Re: 0.0000 0.0000 0.5349
Re: 0.3333 0.6667 0.2015
Re: 0.6667 0.3333 0.8682
B: 0.1081 0.5541 0.9573
B: 0.1126 0.2252 0.2906
B: 0.1126 0.8874 0.2906
B: 0.4415 0.2207 0.6239
B: 0.4459 0.5541 0.9573
B: 0.4459 0.8919 0.9573
B: 0.7748 0.8874 0.2906
B: 0.7793 0.2207 0.6239
B: 0.7793 0.5585 0.6239

11.
This entry pairs a crystal structure of CaReB14 with its computed powder diffraction line list. Radiation: copper Kα. Structure: a DFT-relaxed cell (PBE, Alexandria).

Peak list (8 most intense, 10 to 90 degrees two-theta, in order of rising 2θ)
| 2θ (°) | I/Imax |
| --- | --- |
| 13.48 | 100 |
| 16.52 | 40 |
| 21.40 | 20 |
| 27.15 | 43 |
| 33.42 | 64 |
| 41.23 | 65 |
| 54.07 | 22 |
| 65.09 | 18 |

Structure:
a b c (Å): 7.3939 7.3939 7.3939
angles (deg): 133.21 86.92 111.66
Sites, in units of the cell vectors:
Ca: 0.3853 0.1353 0.2500
Ca: 0.6147 0.8647 0.7500
Re: 0.0000 0.0000 0.5000
Re: 0.0000 0.5000 0.0000
B: 0.0039 0.1278 0.8760
B: 0.0326 0.2071 0.3345
B: 0.0326 0.6981 0.8254
B: 0.0807 0.6665 0.4142
B: 0.2070 0.5402 0.6668
B: 0.2229 0.5005 0.3993
B: 0.2229 0.8236 0.7224
B: 0.2477 0.3335 0.9142
B: 0.2482 0.8722 0.3760
B: 0.3726 0.2071 0.6746
B: 0.3735 0.5402 0.8332
B: 0.3726 0.6981 0.1655
B: 0.3988 0.1764 0.8993
B: 0.3988 0.4995 0.2224
B: 0.6012 0.5005 0.7776
B: 0.6012 0.8236 0.1007
B: 0.6274 0.3019 0.8345
B: 0.6265 0.4598 0.1668
B: 0.6274 0.7929 0.3254
B: 0.7518 0.1278 0.6240
B: 0.7523 0.6665 0.0858
B: 0.7771 0.1764 0.2776
B: 0.7771 0.4995 0.6007
B: 0.7930 0.4598 0.3332
B: 0.9193 0.3335 0.5858
B: 0.9674 0.3019 0.1746
B: 0.9674 0.7929 0.6655
B: 0.9961 0.8722 0.1240

12.
This entry pairs a crystal structure of Ca7B14Rh20 with its computed powder diffraction line list. Radiation: copper Kα. Structure: a DFT-relaxed cell (PBE, Alexandria).

Peak list (8 most intense, 10 to 90 degrees two-theta, in order of rising 2θ)
| 2θ (°) | I/Imax |
| --- | --- |
| 18.49 | 21 |
| 30.78 | 44 |
| 34.14 | 24 |
| 36.01 | 22 |
| 36.97 | 50 |
| 37.21 | 100 |
| 48.84 | 29 |
| 49.04 | 57 |

Structure:
a b c (Å): 20.9077 20.5240 5.6040
angles (deg): 86.13 78.35 15.51
Sites, in units of the cell vectors:
Ca: 0.0000 0.0000 0.0000
Ca: 0.0730 0.0730 0.9270
Ca: 0.1467 0.1467 0.8533
Ca: 0.2222 0.2222 0.7778
Ca: 0.7778 0.7778 0.2222
Ca: 0.8533 0.8533 0.1467
Ca: 0.9270 0.9270 0.0730
B: 0.1240 0.4422 0.5578
B: 0.1887 0.5224 0.4776
B: 0.2621 0.5934 0.4066
B: 0.3335 0.6665 0.3335
B: 0.4066 0.7379 0.2621
B: 0.4422 0.1240 0.8760
B: 0.4776 0.8113 0.1887
B: 0.5224 0.1887 0.8113
B: 0.5578 0.8760 0.1240
B: 0.5934 0.2621 0.7379
B: 0.6665 0.3335 0.6665
B: 0.7379 0.4066 0.5934
B: 0.8113 0.4776 0.5224
B: 0.8760 0.5578 0.4422
Rh: 0.0361 0.0361 0.4639
Rh: 0.1084 0.1084 0.3916
Rh: 0.1804 0.1804 0.3196
Rh: 0.2500 0.2500 0.2500
Rh: 0.3194 0.3194 0.6806
Rh: 0.3196 0.3196 0.1804
Rh: 0.3916 0.3916 0.1084
Rh: 0.3918 0.3918 0.6082
Rh: 0.4639 0.4639 0.0361
Rh: 0.4640 0.4640 0.5360
Rh: 0.5360 0.5360 0.4640
Rh: 0.5361 0.5361 0.9639
Rh: 0.6082 0.6082 0.3918
Rh: 0.6084 0.6084 0.8916
Rh: 0.6804 0.6804 0.8196
Rh: 0.6806 0.6806 0.3194
Rh: 0.7500 0.7500 0.7500
Rh: 0.8196 0.8196 0.6804
Rh: 0.8916 0.8916 0.6084
Rh: 0.9639 0.9639 0.5361